Diffraction record for Np3S5. The X-ray powder pattern is simulated, not measured: it uses a DFT-relaxed cell (PBE, OQMD) and a wavelength of 1.5418 Å.

Cell and atoms:
abc: 11.456 7.872 7.274
angles: 90.00 90.00 90.00
Sites, in units of the cell vectors:
Np1 0.009 0.250 0.077
Np2 0.179 0.003 0.522
Np3 0.179 0.497 0.522
Np4 0.321 0.503 0.022
Np5 0.321 0.997 0.022
Np6 0.491 0.750 0.577
Np7 0.509 0.250 0.423
Np8 0.679 0.003 0.978
Np9 0.679 0.497 0.978
Np10 0.821 0.503 0.478
Np11 0.821 0.997 0.478
Np12 0.991 0.750 0.923
S1 0.001 0.750 0.537
S2 0.096 0.548 0.169
S3 0.096 0.952 0.169
S4 0.190 0.250 0.830
S5 0.219 0.750 0.799
S6 0.281 0.250 0.299
S7 0.310 0.750 0.330
S8 0.404 0.048 0.669
S9 0.404 0.452 0.669
S10 0.499 0.250 0.037
S11 0.501 0.750 0.963
S12 0.596 0.548 0.331
S13 0.596 0.952 0.331
S14 0.690 0.250 0.670
S15 0.719 0.750 0.701
S16 0.781 0.250 0.201
S17 0.810 0.750 0.170
S18 0.904 0.048 0.831
S19 0.904 0.452 0.831
S20 0.999 0.250 0.463

Largest 10 diffraction maxima, in order of rising 2θ, 2θ = 10–90°:
Position (°2θ), Rel. int., (hkl)
24.48, 48, 0 0 2
26.36, 100, 3 0 1
26.91, 70, 1 2 1
27.50, 60, 2 2 0
34.99, 24, 3 2 1
37.14, 57, 2 2 2
38.88, 25, 4 2 0
46.12, 22, 0 4 0
47.60, 52, 6 0 0
53.91, 36, 3 4 1